(1)
Theoretical powder X-ray diffraction pattern of HgH2NCl for Cu Kα, from the PBE geometry in the Materials Project.
No peak broadening, texture or thermal motion is included.

Crystal structure
Unit cell a=6.811 b=4.491 c=5.104 alpha=90.00 beta=90.00 gamma=90.00
Positions (direct):
Hg 0.000 0.000 0.000
Hg 0.500 0.000 0.000
H 0.250 0.184 0.369
H 0.250 0.816 0.369
H 0.750 0.184 0.631
H 0.750 0.816 0.631
N 0.250 0.000 0.248
N 0.750 0.000 0.752
Cl 0.250 0.500 0.724
Cl 0.750 0.500 0.276

Peak list (10 most intense, 2θ = 10–80°, low angle first)
2θ 17.37, 5.104 Å, I = 100
2θ 19.77, 4.491 Å, I = 65
2θ 26.44, 3.372 Å, I = 87
2θ 31.58, 2.833 Å, I = 57
2θ 33.01, 2.714 Å, I = 58
2θ 37.54, 2.396 Å, I = 64
2θ 40.66, 2.219 Å, I = 33
2θ 44.36, 2.042 Å, I = 32
2θ 49.00, 1.859 Å, I = 26
2θ 51.97, 1.760 Å, I = 28

---

(2)
Theoretical powder X-ray diffraction pattern of Zr3Sb for Cu Kα, from the PBE geometry in the Materials Project.
No peak broadening, texture or thermal motion is included.

Crystal structure
Unit cell a=8.579 b=8.579 c=8.579 alpha=96.38 beta=96.38 gamma=141.07
Positions (direct):
Zr 0.046 0.359 0.476
Zr 0.085 0.203 0.833
Zr 0.205 0.674 0.902
Zr 0.326 0.228 0.531
Zr 0.370 0.251 0.167
Zr 0.430 0.954 0.313
Zr 0.641 0.117 0.687
Zr 0.697 0.795 0.469
Zr 0.749 0.915 0.118
Zr 0.772 0.303 0.098
Zr 0.797 0.630 0.882
Zr 0.883 0.570 0.524
Sb 0.241 0.485 0.176
Sb 0.310 0.066 0.824
Sb 0.515 0.690 0.756
Sb 0.934 0.759 0.244

Peak list (10 most intense, 2θ = 10–80°, low angle first)
2θ 32.27, 2.774 Å, I = 76
2θ 33.23, 2.696 Å, I = 100
2θ 35.09, 2.558 Å, I = 62
2θ 35.98, 2.496 Å, I = 100
2θ 38.57, 2.334 Å, I = 55
2θ 40.20, 2.243 Å, I = 73
2θ 42.56, 2.124 Å, I = 22
2θ 65.83, 1.419 Å, I = 24
2θ 66.40, 1.408 Å, I = 26
2θ 67.53, 1.387 Å, I = 22

---

(3)
Theoretical powder X-ray diffraction pattern of HgB6 for Cu Kα, from the PBE geometry in the Materials Project.
No peak broadening, texture or thermal motion is included.

Crystal structure
Unit cell a=4.193 b=4.193 c=4.193 alpha=90.00 beta=90.00 gamma=90.00
Positions (direct):
Hg 0.000 0.000 0.000
B 0.200 0.500 0.500
B 0.500 0.200 0.500
B 0.500 0.500 0.200
B 0.500 0.500 0.800
B 0.500 0.800 0.500
B 0.800 0.500 0.500

Peak list (10 most intense, 2θ = 10–80°, low angle first)
2θ 21.19, 4.193 Å, I = 75
2θ 30.14, 2.965 Å, I = 100
2θ 37.14, 2.421 Å, I = 42
2θ 43.15, 2.097 Å, I = 21
2θ 48.55, 1.875 Å, I = 52
2θ 53.53, 1.712 Å, I = 32
2θ 62.67, 1.482 Å, I = 11
2θ 66.95, 1.398 Å, I = 28
2θ 71.10, 1.326 Å, I = 20
2θ 75.15, 1.264 Å, I = 14

---

(4)
Theoretical powder X-ray diffraction pattern of Cu2C4NCl5 for Cu Kα, from the PBE geometry in the Materials Project.
No peak broadening, texture or thermal motion is included.

Crystal structure
Unit cell a=6.850 b=18.519 c=10.640 alpha=90.00 beta=97.14 gamma=90.00
Positions (direct):
Cu 0.124 0.090 0.417
Cu 0.124 0.410 0.917
Cu 0.281 0.514 0.082
Cu 0.281 0.986 0.582
Cu 0.719 0.014 0.418
Cu 0.719 0.486 0.918
Cu 0.876 0.590 0.083
Cu 0.876 0.910 0.583
C 0.036 0.667 0.692
C 0.036 0.833 0.192
C 0.308 0.660 0.564
C 0.308 0.840 0.064
C 0.388 0.122 0.037
C 0.388 0.378 0.537
C 0.445 0.641 0.498
C 0.445 0.859 0.998
C 0.555 0.141 0.002
C 0.555 0.359 0.502
C 0.612 0.622 0.463
C 0.612 0.878 0.963
C 0.692 0.160 0.936
C 0.692 0.340 0.436
C 0.964 0.167 0.808
C 0.964 0.333 0.308
N 0.167 0.676 0.619
N 0.167 0.824 0.119
N 0.833 0.176 0.881
N 0.833 0.324 0.381
Cl 0.017 0.585 0.769
Cl 0.017 0.915 0.269
Cl 0.129 0.232 0.778
Cl 0.129 0.268 0.278
Cl 0.166 0.605 0.175
Cl 0.166 0.895 0.675
Cl 0.331 0.076 0.163
Cl 0.331 0.424 0.663
Cl 0.407 0.087 0.525
Cl 0.407 0.413 0.025
Cl 0.593 0.587 0.975
Cl 0.593 0.913 0.475
Cl 0.669 0.576 0.337
Cl 0.669 0.924 0.837
Cl 0.834 0.105 0.325
Cl 0.834 0.395 0.825
Cl 0.871 0.732 0.722
Cl 0.871 0.768 0.222
Cl 0.983 0.085 0.731
Cl 0.983 0.415 0.231

Peak list (10 most intense, 2θ = 10–80°, low angle first)
2θ 16.64, 5.329 Å, I = 77
2θ 17.47, 5.077 Å, I = 41
2θ 19.37, 4.583 Å, I = 37
2θ 20.95, 4.240 Å, I = 46
2θ 22.57, 3.939 Å, I = 100
2θ 24.68, 3.607 Å, I = 67
2θ 28.74, 3.106 Å, I = 62
2θ 33.39, 2.684 Å, I = 53
2θ 36.47, 2.463 Å, I = 49
2θ 47.98, 1.896 Å, I = 40

---

(5)
Theoretical powder X-ray diffraction pattern of CrAsRu for Cu Kα, from the PBE geometry in the Materials Project.
No peak broadening, texture or thermal motion is included.

Crystal structure
Unit cell a=6.060 b=3.987 c=7.316 alpha=90.00 beta=90.00 gamma=90.00
Positions (direct):
Cr 0.033 0.250 0.192
Cr 0.467 0.750 0.692
Cr 0.533 0.250 0.308
Cr 0.967 0.750 0.808
As 0.248 0.750 0.382
As 0.252 0.250 0.882
As 0.748 0.750 0.118
As 0.752 0.250 0.618
Ru 0.157 0.250 0.559
Ru 0.343 0.750 0.059
Ru 0.657 0.250 0.941
Ru 0.843 0.750 0.441

Peak list (10 most intense, 2θ = 10–80°, low angle first)
2θ 19.02, 4.667 Å, I = 31
2θ 29.47, 3.031 Å, I = 27
2θ 36.48, 2.463 Å, I = 53
2θ 37.27, 2.413 Å, I = 60
2θ 39.32, 2.291 Å, I = 100
2θ 43.50, 2.080 Å, I = 93
2θ 45.50, 1.994 Å, I = 70
2θ 46.13, 1.968 Å, I = 45
2θ 46.64, 1.947 Å, I = 30
2θ 52.27, 1.750 Å, I = 24